# 1
Diffraction record for Cs7Au2O2. The powder diffraction line list is computed, not measured: it uses a crystal structure in Alexandria, relaxed with GGA-PBE and Cu Kα (weighted mean of Kα1 and Kα2).
Lines closer than 0.1° are merged.

Most intense lines, 5 to 70 degrees two-theta, low angle first:
- 8.06 deg, I = 100, hkl 0 2 0
- 22.16 deg, I = 19, hkl 1 0 1
- 23.59 deg, I = 31, hkl 0 3 3
- 25.42 deg, I = 32, hkl 1 1 2
- 27.56 deg, I = 40, hkl 1 4 1
- 27.92 deg, I = 53, hkl 0 6 2
- 28.72 deg, I = 24, hkl 0 5 3
- 33.16 deg, I = 23, hkl 1 6 1
- 34.76 deg, I = 25, hkl 1 1 4
- 45.13 deg, I = 22, hkl 1 9 2

Crystal structure
```
data_Cs7Au2O2
_cell_length_a 4.2092
_cell_length_b 21.9299
_cell_length_c 13.2147
_cell_angle_alpha 90.00
_cell_angle_beta 90.00
_cell_angle_gamma 90.00
_space_group_name_H-M_alt 'I m m 2'
_space_group_IT_number 44
_space_group_name_Hall 'I 2 -2'
loop_
_atom_site_label
_atom_site_fract_x
_atom_site_fract_y
_atom_site_fract_z
Cs1 0.0000 0.0000 0.0000
Cs2 0.0000 0.1002 0.6219
Cs3 0.0000 0.3332 0.4865
Cs4 0.0000 0.3935 0.7473
Au1 0.0000 0.0000 0.4204
Au2 0.0000 0.5000 0.2652
O1 0.0000 0.1153 0.0967
```



# 2
Diffraction record for LiCu5Pt2. The powder diffraction line list is computed, not measured: it uses a crystal structure in Alexandria, relaxed with GGA-PBE and Cu Kα (weighted mean of Kα1 and Kα2).
Lines closer than 0.1° are merged.

Most intense lines, 5 to 70 degrees two-theta, low angle first:
- 23.91 deg, I = 43, hkl 0 0 1
- 30.62 deg, I = 3, hkl 1 1 1
- 34.08 deg, I = 35, hkl 2 0 0
- 42.06 deg, I = 100, hkl 2 0 1
- 48.89 deg, I = 16, hkl 0 0 2
- 48.99 deg, I = 32, hkl 2 4 0
- 55.18 deg, I = 16, hkl 2 4 1
- 55.27 deg, I = 3, hkl 3 2 0
- 60.96 deg, I = 10, hkl 2 0 2
- 61.05 deg, I = 4, hkl 3 2 1

Crystal structure
```
data_LiCu5Pt2
_cell_length_a 5.2552
_cell_length_b 10.5260
_cell_length_c 3.7260
_cell_angle_alpha 90.00
_cell_angle_beta 90.00
_cell_angle_gamma 90.00
_space_group_name_H-M_alt 'P b a m'
_space_group_IT_number 55
_space_group_name_Hall '-P 2 2ab'
loop_
_atom_site_label
_atom_site_fract_x
_atom_site_fract_y
_atom_site_fract_z
Li1 0.0000 0.0000 0.0000
Cu1 0.0000 0.5000 0.0000
Cu2 0.0043 0.2514 0.0000
Cu3 0.2458 0.6271 0.5000
Pt1 0.2445 0.8776 0.5000
```



# 3
Diffraction record for Ac3Sn3Ge2. The powder diffraction line list is computed, not measured: it uses a crystal structure in Alexandria, relaxed with GGA-PBE and Cu Kα (weighted mean of Kα1 and Kα2).
Lines closer than 0.1° are merged.

Most intense lines, 5 to 70 degrees two-theta, low angle first:
- 25.72 deg, I = 27, hkl 1 1 3
- 28.93 deg, I = 100, hkl 0 4 0
- 29.74 deg, I = 43, hkl 1 3 1
- 29.90 deg, I = 30, hkl 0 0 6
- 35.63 deg, I = 37, hkl 1 3 4
- 38.78 deg, I = 24, hkl 1 3 5
- 39.84 deg, I = 29, hkl 2 0 0
- 42.05 deg, I = 16, hkl 0 4 6
- 49.95 deg, I = 18, hkl 2 4 0
- 50.60 deg, I = 19, hkl 2 0 6

Crystal structure
```
data_Ac3Sn3Ge2
_cell_length_a 4.5257
_cell_length_b 12.3635
_cell_length_c 17.9319
_cell_angle_alpha 90.00
_cell_angle_beta 90.00
_cell_angle_gamma 90.00
_space_group_name_H-M_alt 'C m c m'
_space_group_IT_number 63
_space_group_name_Hall '-C 2c 2'
loop_
_atom_site_label
_atom_site_fract_x
_atom_site_fract_y
_atom_site_fract_z
Ac1 0.0000 0.0967 0.2500
Ac2 0.0000 0.3720 0.0945
Sn1 0.0000 0.0917 0.0540
Sn2 0.0000 0.1761 0.7500
Ge1 0.0000 0.3302 0.6308
```